1.
The following is a calculated XRD peak list of Ba3Ga3Pt2. It was derived from a cell relaxed with PBE, using Cu Ka.
Peak positions follow from Bragg's law for the DFT cell and can differ from measured ones.

Peak list (8 most intense, 2θ = 5–70°, in order of rising 2θ)
24.10°, I 39; 30.36°, I 59; 30.51°, I 32; 33.70°, I 100; 34.13°, I 78; 34.37°, I 96; 37.56°, I 37; 53.20°, I 38

Cell and atoms:
abc: 8.647 15.935 6.388
angles: 90.00 90.00 90.00
Space group Pnma (No. 62)
Unique sites:
Ba  0.035  0.107  0.111 (multiplicity 8)
Ba  0.189  0.250  0.582 (multiplicity 4)
Ga  0.158  0.040  0.607 (multiplicity 8)
Ga  0.164  0.750  0.553 (multiplicity 4)
Pt  0.129  0.595  0.374 (multiplicity 8)



2.
The following is a calculated XRD peak list of Dy2Zn5Ir5. It was derived from a cell relaxed with PBE, using Cu Ka.
Peak positions follow from Bragg's law for the DFT cell and can differ from measured ones.

Peak list (8 most intense, 2θ = 5–70°, in order of rising 2θ)
28.92°, I 58; 29.49°, I 62; 38.04°, I 100; 39.29°, I 79; 40.59°, I 91; 44.27°, I 68; 44.47°, I 61; 59.91°, I 54

Cell and atoms:
abc: 4.075 5.549 9.058
angles: 90.00 90.00 90.00
Space group Pmmm (No. 47)
Unique sites:
Dy  0.000  0.000  0.000 (multiplicity 1)
Dy  0.000  0.500  0.500 (multiplicity 1)
Zn  0.000  0.000  0.330 (multiplicity 2)
Zn  0.000  0.500  0.170 (multiplicity 2)
Zn  0.500  0.000  0.500 (multiplicity 1)
Ir  0.500  0.246  0.252 (multiplicity 4)
Ir  0.500  0.500  0.000 (multiplicity 1)



3.
The following is a calculated XRD peak list of Pm5PrAl2. It was derived from a cell relaxed with PBE, using Cu Ka.
Peak positions follow from Bragg's law for the DFT cell and can differ from measured ones.

Peak list (8 most intense, 2θ = 5–70°, in order of rising 2θ)
22.04°, I 34; 30.31°, I 100; 32.37°, I 75; 33.37°, I 79; 33.89°, I 27; 47.57°, I 34; 60.28°, I 33; 60.73°, I 28

Cell and atoms:
abc: 3.706 10.581 12.461
angles: 90.00 90.00 90.00
Space group Immm (No. 71)
Unique sites:
Pm  0.000  0.000  0.000 (multiplicity 2)
Pm  0.000  0.282  0.358 (multiplicity 8)
Pr  0.000  0.500  0.000 (multiplicity 2)
Al  0.000  0.000  0.270 (multiplicity 4)



4.
The following is a calculated XRD peak list of K2CrS2. It was derived from a cell relaxed with PBE, using Cu Ka.
Peak positions follow from Bragg's law for the DFT cell and can differ from measured ones.

Peak list (8 most intense, 2θ = 5–70°, in order of rising 2θ)
14.28°, I 78; 14.40°, I 63; 25.00°, I 96; 29.63°, I 100; 32.18°, I 61; 34.85°, I 54; 38.27°, I 64; 41.26°, I 73

Cell and atoms:
abc: 7.180 12.304 6.227
angles: 90.00 90.00 90.00
Space group Ibam (No. 72)
Unique sites:
K  0.149  0.148  0.000 (multiplicity 8)
Cr  0.000  0.500  0.250 (multiplicity 4)
S  0.198  0.405  0.000 (multiplicity 8)